SrAc2Ir: calculated powder XRD pattern (Cu Ka), based on DFT lattice parameters and positions (PBE).

Crystal structure
```
data_SrAc2Ir
_chemical_formula_sum 'Sr1 Ac2 Ir1'
_cell_length_a 3.815
_cell_length_b 3.815
_cell_length_c 10.500
_cell_angle_alpha 90.00
_cell_angle_beta 90.00
_cell_angle_gamma 90.00
_symmetry_space_group_name_H-M 'P 4/m m m'
_symmetry_Int_Tables_number 123
_symmetry_space_group_name_Hall '-P 4 2'
loop_
_atom_site_label
_atom_site_fract_x
_atom_site_fract_y
_atom_site_fract_z
Sr1 0.000 0.000 0.000
Ac1 0.500 0.500 0.336
Ir1 0.000 0.000 0.500
```

Top 12 peaks for 2θ = 10–90°, sorted by position:
d = 3.500 Å, intensity 17, (0 0 3); d = 3.086 Å, intensity 100, (1 0 2); d = 2.698 Å, intensity 77, (1 1 0); d = 2.613 Å, intensity 30, (1 1 1); d = 2.579 Å, intensity 78, (1 0 3); d = 2.163 Å, intensity 45, (1 0 4); d = 2.137 Å, intensity 18, (1 1 3); d = 1.908 Å, intensity 29, (2 0 0); d = 1.623 Å, intensity 31, (2 1 2); d = 1.534 Å, intensity 33, (2 1 3); d = 1.468 Å, intensity 25, (1 1 6); d = 1.431 Å, intensity 24, (2 1 4)